Entry 1:
# CeHo2Ni9
Calculated PXRD pattern, λ = 1.5418 Å (Cu Kα). Input: a structure optimized by DFT (PBE).
Intensities are scaled so that the largest is 100.

Structural model:
```
data_CeHo2Ni9
_chemical_formula_sum 'Ce2 Ho4 Ni18'
_cell_length_a 4.9579
_cell_length_b 4.9579
_cell_length_c 16.2376
_cell_angle_alpha 90.00
_cell_angle_beta 90.00
_cell_angle_gamma 120.00
_symmetry_space_group_name_H-M 'P 63/m m c'
_symmetry_Int_Tables_number 194
_symmetry_space_group_name_Hall '-P 6c 2c'
loop_
_atom_site_label
_atom_site_type_symbol
_atom_site_fract_x
_atom_site_fract_y
_atom_site_fract_z
_atom_site_occupancy
Ce1 Ce 0.3333 0.6667 0.2500 1
Ho1 Ho 0.3333 0.6667 0.0408 1
Ni1 Ni 0.0000 0.0000 0.0000 1
Ni2 Ni 0.0000 0.0000 0.2500 1
Ni3 Ni 0.1672 0.3344 0.6254 1
Ni4 Ni 0.3333 0.6667 0.7500 1
```

The 10 most intense peaks (2θ from 10° to 90°), in order of falling intensity:
| 2theta | I_rel | (hkl) |
| --- | --- | --- |
| 42.74 | 100 | 1 1 4 |
| 34.63 | 78 | 1 0 5 |
| 36.24 | 56 | 1 1 0 |
| 42.47 | 36 | 2 0 1 |
| 45.45 | 28 | 2 0 3 |
| 64.15 | 26 | 2 1 5 |
| 76.92 | 23 | 2 2 0 |
| 69.66 | 22 | 3 0 4 |
| 44.39 | 19 | 1 0 7 |
| 67.86 | 16 | 2 0 9 |

***

Entry 2:
# Ce2Ho5Ni4
Calculated PXRD pattern, λ = 1.5418 Å (Cu Kα). Input: a structure optimized by DFT (PBE).
Intensities are scaled so that the largest is 100.

Structural model:
```
data_Ce2Ho5Ni4
_chemical_formula_sum 'Ce4 Ho10 Ni8'
_cell_length_a 23.502
_cell_length_b 3.455
_cell_length_c 6.656
_cell_angle_alpha 90.00
_cell_angle_beta 91.58
_cell_angle_gamma 90.00
_symmetry_space_group_name_H-M 'C 1 2/m 1'
_symmetry_Int_Tables_number 12
_symmetry_space_group_name_Hall '-C 2y'
loop_
_atom_site_label
_atom_site_type_symbol
_atom_site_fract_x
_atom_site_fract_y
_atom_site_fract_z
_atom_site_occupancy
Ce1 Ce 0.090 0.000 0.147 1
Ho1 Ho 0.000 0.500 0.500 1
Ho2 Ho 0.133 0.000 0.666 1
Ho3 Ho 0.233 0.000 0.234 1
Ni1 Ni 0.024 0.000 0.817 1
Ni2 Ni 0.170 0.500 0.976 1
```

The 10 most intense peaks (2θ from 10° to 90°), in order of falling intensity:
| 2theta | I_rel | (hkl) |
| --- | --- | --- |
| 31.47 | 100 | 3 1 1 |
| 37.81 | 99 | 1 1 2 |
| 33.00 | 93 | 8 0 -1 |
| 27.67 | 76 | 2 0 -2 |
| 26.75 | 58 | 6 0 1 |
| 35.90 | 50 | 6 0 2 |
| 26.07 | 46 | 1 1 0 |
| 34.73 | 43 | 5 1 -1 |
| 29.33 | 38 | 1 1 -1 |
| 53.01 | 37 | 0 2 0 |